[1]
For CaLaFeAgO6, DFT lattice parameters and positions (PBE+U) gives the calculated powder diffraction line list in this record (a wavelength of 1.5418 Å).
No peak broadening, texture or thermal motion is included.

Cell and atoms:
```
CaLaFeAgO6
1.0
5.6284 0.0000 0.0000
0.0080 5.7991 0.0000
0.0704 0.0026 7.7908
Ca La Fe Ag O
2 2 2 2 12
Direct
0.0000 0.0000 0.0000
0.4995 0.6183 0.5001
0.0299 0.1114 0.5026
0.5297 0.5067 0.0025
0.0163 0.5612 0.7509
0.5162 0.0567 0.2509
0.0154 0.5597 0.2520
0.5158 0.0581 0.7522
0.1116 0.5993 0.9972
0.2052 0.8387 0.7003
0.2341 0.8646 0.3010
0.3039 0.3695 0.7007
0.3307 0.3415 0.3045
0.4114 0.0940 0.0059
0.6104 0.0198 0.4973
0.7055 0.7788 0.2001
0.7332 0.7534 0.8009
0.8037 0.2479 0.2012
0.8314 0.2772 0.8040
0.9121 0.5254 0.5059
```

Peak list (6 most intense, 15 to 90 degrees two-theta, by intensity)
2θ/deg, I_rel
31.81, 100
32.03, 65
44.89, 34
30.84, 31
56.94, 29
19.08, 24

[2]
For LiVSO4F3, DFT lattice parameters and positions (PBE+U) gives the calculated powder diffraction line list in this record (a wavelength of 1.5418 Å).
No peak broadening, texture or thermal motion is included.

Cell and atoms:
```
LiVSO4F3
1.0
7.1656 0.0000 0.0000
0.4158 7.8686 0.0000
0.1948 0.2373 10.2569
Li V S O F
4 4 4 16 12
Direct
0.0000 0.0000 0.0000
0.0007 0.5147 0.0782
0.3286 0.2114 0.5545
0.8422 0.9854 0.5396
0.1264 0.0960 0.2799
0.1360 0.5949 0.7719
0.6258 0.0989 0.2730
0.6355 0.6001 0.7818
0.3550 0.4270 0.2896
0.3551 0.9301 0.7912
0.8987 0.2599 0.7822
0.9032 0.7643 0.2913
0.0007 0.6825 0.3984
0.0358 0.3772 0.8431
0.0368 0.8874 0.2139
0.2270 0.8124 0.7191
0.2330 0.2932 0.3630
0.2474 0.5057 0.1846
0.2504 0.0030 0.8999
0.4224 0.0515 0.6936
0.4332 0.5309 0.3848
0.5165 0.3152 0.2258
0.5195 0.8201 0.8419
0.7348 0.3736 0.7323
0.7485 0.8846 0.3498
0.8310 0.6584 0.1922
0.8351 0.1460 0.8854
0.9824 0.1728 0.6691
0.0915 0.0191 0.4486
0.1263 0.1867 0.1154
0.1260 0.6575 0.9450
0.1452 0.5034 0.6148
0.3808 0.9991 0.2688
0.3932 0.5010 0.7945
0.5912 0.1443 0.4509
0.6192 0.6728 0.6158
0.6869 0.0221 0.1149
0.6966 0.5521 0.9489
0.8708 0.2007 0.2863
0.8870 0.7013 0.7605
```

Peak list (6 most intense, 15 to 90 degrees two-theta, by intensity)
2θ/deg, I_rel
17.29, 100
19.26, 20
18.24, 20
18.70, 19
29.23, 17
29.34, 16

[3]
For ZrNi4O, DFT lattice parameters and positions (PBE+U) gives the calculated powder diffraction line list in this record (a wavelength of 1.5418 Å).
No peak broadening, texture or thermal motion is included.

Cell and atoms:
```
ZrNi4O
1.0
0.0000 3.3250 3.3250
3.3250 0.0000 3.3250
3.3250 3.3250 0.0000
Zr Ni O
1 4 1
Direct
0.0000 0.0000 0.0000
0.3750 0.3750 0.3750
0.3750 0.3750 0.8751
0.3750 0.8751 0.3750
0.8751 0.3750 0.3750
0.7500 0.7500 0.7500
```

Peak list (6 most intense, 15 to 90 degrees two-theta, by intensity)
2θ/deg, I_rel
45.22, 100
47.35, 47
74.08, 28
23.17, 25
81.96, 23
38.28, 21

[4]
For MgVCrP2O8F2, DFT lattice parameters and positions (PBE+U) gives the calculated powder diffraction line list in this record (a wavelength of 1.5418 Å).
No peak broadening, texture or thermal motion is included.

Cell and atoms:
```
MgVCrP2O8F2
1.0
5.2231 0.0000 0.0000
-0.6795 5.3652 0.0000
-2.4191 -2.5541 6.5055
Mg V Cr P O F
1 1 1 2 8 2
Direct
0.0000 0.0000 0.0000
0.2655 0.6140 0.1869
0.2629 0.6040 0.6670
0.5747 0.2523 0.9334
0.9290 0.9710 0.4156
0.0233 0.8367 0.5737
0.0933 0.9182 0.2655
0.3556 0.2632 0.0370
0.5288 0.4120 0.7934
0.5764 0.9520 0.8315
0.6201 0.8489 0.2667
0.8840 0.3548 0.0960
0.9671 0.2711 0.5186
0.1378 0.6831 0.9083
0.3900 0.5417 0.4446
```

Peak list (6 most intense, 15 to 90 degrees two-theta, by intensity)
2θ/deg, I_rel
26.55, 100
28.89, 98
26.69, 80
18.56, 55
36.19, 49
18.31, 29